Entry 1:
Computed XRD peak list of TbY2Tm2 for CuKα, from the GGA-PBE geometry in Alexandria.
Kinematic intensities with the Lorentz-polarization factor, no thermal factor.

Lattice parameters (Å, degrees): 14.571 7.074 6.120 90.00 97.98 90.00
Sites, in units of the cell vectors:
Tb  0.199  0.125  0.149
Tb  0.199  0.375  0.649
Tb  0.801  0.625  0.351
Tb  0.801  0.875  0.851
Y  0.199  0.625  0.150
Y  0.199  0.875  0.650
Y  0.400  0.125  0.550
Y  0.400  0.375  0.050
Y  0.600  0.625  0.950
Y  0.600  0.875  0.450
Y  0.801  0.125  0.350
Y  0.801  0.375  0.850
Tm  0.000  0.125  0.751
Tm  0.000  0.375  0.251
Tm  0.000  0.625  0.749
Tm  0.000  0.875  0.249
Tm  0.400  0.625  0.550
Tm  0.400  0.875  0.050
Tm  0.600  0.125  0.950
Tm  0.600  0.375  0.450

Most intense lines, 10° ≤ 2θ ≤ 90°, low angle first:
| 2θ/deg | I_rel |
| --- | --- |
| 30.98 | 100 |
| 35.93 | 50 |
| 51.72 | 36 |
| 61.50 | 28 |
| 61.57 | 14 |
| 64.58 | 12 |

***

Entry 2:
Computed XRD peak list of AgH3O2 for CuKα, from the GGA-PBE geometry in Alexandria.
Kinematic intensities with the Lorentz-polarization factor, no thermal factor.

Lattice parameters (Å, degrees): 6.090 12.499 6.231 90.00 90.00 90.00
Sites, in units of the cell vectors:
Ag  0.091  0.074  0.156
Ag  0.091  0.426  0.656
Ag  0.409  0.574  0.156
Ag  0.409  0.926  0.656
Ag  0.591  0.074  0.344
Ag  0.591  0.426  0.844
Ag  0.909  0.574  0.344
Ag  0.909  0.926  0.844
H  0.003  0.641  0.932
H  0.003  0.859  0.432
H  0.184  0.641  0.736
H  0.184  0.859  0.236
H  0.216  0.705  0.442
H  0.216  0.795  0.942
H  0.284  0.205  0.442
H  0.284  0.295  0.942
H  0.316  0.141  0.736
H  0.316  0.359  0.236
H  0.497  0.141  0.932
H  0.497  0.359  0.432
H  0.503  0.641  0.568
H  0.503  0.859  0.068
H  0.684  0.641  0.764
H  0.684  0.859  0.264
H  0.716  0.705  0.058
H  0.716  0.795  0.558
H  0.784  0.205  0.058
H  0.784  0.295  0.558
H  0.816  0.141  0.764
H  0.816  0.359  0.264
H  0.997  0.141  0.568
H  0.997  0.359  0.068
O  0.162  0.655  0.894
O  0.162  0.845  0.394
O  0.248  0.629  0.477
O  0.248  0.871  0.977
O  0.252  0.129  0.477
O  0.252  0.371  0.977
O  0.338  0.155  0.894
O  0.338  0.345  0.394
O  0.662  0.655  0.606
O  0.662  0.845  0.106
O  0.748  0.629  0.023
O  0.748  0.871  0.523
O  0.752  0.129  0.023
O  0.752  0.371  0.523
O  0.838  0.155  0.606
O  0.838  0.345  0.106

Most intense lines, 10° ≤ 2θ ≤ 90°, low angle first:
| 2θ/deg | I_rel |
| --- | --- |
| 14.17 | 86 |
| 20.12 | 100 |
| 21.61 | 72 |
| 32.05 | 77 |
| 33.53 | 89 |
| 39.01 | 67 |

***

Entry 3:
Computed XRD peak list of K2Sn2OF6 for CuKα, from the GGA-PBE geometry in Alexandria.
Kinematic intensities with the Lorentz-polarization factor, no thermal factor.

Lattice parameters (Å, degrees): 10.296 10.296 10.296 92.33 92.33 156.74
Sites, in units of the cell vectors:
K  0.142  0.838  0.981
K  0.162  0.142  0.304
K  0.838  0.858  0.696
K  0.858  0.162  0.019
Sn  0.152  0.536  0.688
Sn  0.464  0.152  0.616
Sn  0.536  0.848  0.384
Sn  0.848  0.464  0.312
O  0.000  0.000  0.000
O  0.500  0.500  0.000
F  0.041  0.297  0.338
F  0.229  0.657  0.886
F  0.257  0.439  0.697
F  0.297  0.959  0.256
F  0.343  0.229  0.573
F  0.439  0.743  0.182
F  0.561  0.257  0.818
F  0.657  0.771  0.427
F  0.703  0.041  0.744
F  0.743  0.561  0.303
F  0.771  0.343  0.114
F  0.959  0.703  0.662

Most intense lines, 10° ≤ 2θ ≤ 90°, low angle first:
| 2θ/deg | I_rel |
| --- | --- |
| 25.60 | 56 |
| 26.51 | 74 |
| 27.98 | 52 |
| 28.55 | 100 |
| 43.60 | 25 |
| 46.26 | 30 |

***

Entry 4:
Computed XRD peak list of Nd4CuPt3 for CuKα, from the GGA-PBE geometry in Alexandria.
Kinematic intensities with the Lorentz-polarization factor, no thermal factor.

Lattice parameters (Å, degrees): 3.924 4.573 10.878 90.00 90.00 90.00
Sites, in units of the cell vectors:
Nd  0.000  0.000  0.000
Nd  0.000  0.500  0.273
Nd  0.500  0.000  0.494
Nd  0.500  0.500  0.771
Cu  0.000  0.000  0.709
Pt  0.000  0.500  0.559
Pt  0.500  0.000  0.223
Pt  0.500  0.500  0.045

Most intense lines, 10° ≤ 2θ ≤ 90°, low angle first:
| 2θ/deg | I_rel |
| --- | --- |
| 31.14 | 100 |
| 32.94 | 28 |
| 38.52 | 25 |
| 39.14 | 81 |
| 39.41 | 33 |
| 46.27 | 22 |

***

Entry 5:
Computed XRD peak list of Co6IrRh for CuKα, from the GGA-PBE geometry in Alexandria.
Kinematic intensities with the Lorentz-polarization factor, no thermal factor.

Lattice parameters (Å, degrees): 5.161 5.161 4.118 90.00 90.00 120.00
Sites, in units of the cell vectors:
Co  0.011  0.505  0.000
Co  0.172  0.344  0.500
Co  0.172  0.828  0.500
Co  0.495  0.505  0.000
Co  0.495  0.989  0.000
Co  0.656  0.828  0.500
Ir  0.667  0.333  0.500
Rh  0.000  0.000  0.000

Most intense lines, 10° ≤ 2θ ≤ 90°, low angle first:
| 2θ/deg | I_rel |
| --- | --- |
| 29.49 | 27 |
| 40.36 | 26 |
| 43.98 | 26 |
| 46.22 | 100 |
| 82.46 | 17 |
| 89.68 | 19 |

***

Entry 6:
Computed XRD peak list of Pm3Nd2Dy7 for CuKα, from the GGA-PBE geometry in Alexandria.
Kinematic intensities with the Lorentz-polarization factor, no thermal factor.

Lattice parameters (Å, degrees): 6.382 3.546 17.632 90.00 96.23 90.00
Sites, in units of the cell vectors:
Pm  0.000  0.000  0.000
Pm  0.046  0.500  0.659
Pm  0.954  0.500  0.341
Nd  0.444  0.000  0.327
Nd  0.556  0.000  0.673
Dy  0.227  0.500  0.164
Dy  0.245  0.000  0.500
Dy  0.274  0.000  0.835
Dy  0.500  0.500  0.000
Dy  0.726  0.000  0.165
Dy  0.755  0.000  0.500
Dy  0.773  0.500  0.836

Most intense lines, 10° ≤ 2θ ≤ 90°, low angle first:
| 2θ/deg | I_rel |
| --- | --- |
| 29.57 | 29 |
| 30.59 | 100 |
| 31.15 | 55 |
| 33.58 | 36 |
| 34.58 | 41 |
| 61.13 | 28 |

***

Entry 7:
Computed XRD peak list of LaCr2Rh for CuKα, from the GGA-PBE geometry in Alexandria.
Kinematic intensities with the Lorentz-polarization factor, no thermal factor.

Lattice parameters (Å, degrees): 9.647 3.002 5.310 90.00 102.99 90.00
Sites, in units of the cell vectors:
La  0.000  0.000  0.000
La  0.500  0.500  0.000
Cr  0.224  0.000  0.626
Cr  0.276  0.500  0.374
Cr  0.724  0.500  0.626
Cr  0.776  0.000  0.374
Rh  0.000  0.500  0.500
Rh  0.500  0.000  0.500

Most intense lines, 10° ≤ 2θ ≤ 90°, low angle first:
| 2θ/deg | I_rel |
| --- | --- |
| 18.88 | 56 |
| 34.68 | 37 |
| 35.66 | 46 |
| 36.94 | 100 |
| 38.30 | 52 |
| 42.64 | 84 |

***

Entry 8:
Computed XRD peak list of AcHo4Sn4 for CuKα, from the GGA-PBE geometry in Alexandria.
Kinematic intensities with the Lorentz-polarization factor, no thermal factor.

Lattice parameters (Å, degrees): 10.055 10.055 6.092 90.00 90.00 90.00
Sites, in units of the cell vectors:
Ac  0.250  0.250  0.250
Ac  0.750  0.750  0.750
Ho  0.112  0.635  0.143
Ho  0.135  0.888  0.643
Ho  0.365  0.612  0.643
Ho  0.388  0.865  0.143
Ho  0.612  0.135  0.857
Ho  0.635  0.388  0.357
Ho  0.865  0.112  0.357
Ho  0.888  0.365  0.857
Sn  0.060  0.590  0.659
Sn  0.090  0.940  0.159
Sn  0.410  0.560  0.159
Sn  0.440  0.910  0.659
Sn  0.560  0.090  0.341
Sn  0.590  0.440  0.841
Sn  0.910  0.060  0.841
Sn  0.940  0.410  0.341

Most intense lines, 10° ≤ 2θ ≤ 90°, low angle first:
| 2θ/deg | I_rel |
| --- | --- |
| 17.02 | 28 |
| 24.61 | 25 |
| 28.06 | 100 |
| 30.67 | 54 |
| 35.40 | 39 |
| 40.00 | 48 |

***

Entry 9:
Computed XRD peak list of Ca2CdPdO4 for CuKα, from the GGA-PBE geometry in Alexandria.
Kinematic intensities with the Lorentz-polarization factor, no thermal factor.

Lattice parameters (Å, degrees): 6.256 3.204 6.437 90.00 118.75 90.00
Sites, in units of the cell vectors:
Ca  0.000  0.000  0.000
Ca  0.000  0.500  0.500
Cd  0.500  0.000  0.000
Pd  0.500  0.500  0.500
O  0.211  0.500  0.909
O  0.260  0.000  0.447
O  0.740  0.000  0.553
O  0.789  0.500  0.091

Most intense lines, 10° ≤ 2θ ≤ 90°, low angle first:
| 2θ/deg | I_rel |
| --- | --- |
| 16.16 | 61 |
| 31.71 | 88 |
| 32.12 | 85 |
| 32.81 | 44 |
| 40.29 | 100 |
| 52.05 | 41 |

***

Entry 10:
Computed XRD peak list of AcTb8Y6 for CuKα, from the GGA-PBE geometry in Alexandria.
Kinematic intensities with the Lorentz-polarization factor, no thermal factor.

Lattice parameters (Å, degrees): 8.726 8.726 8.726 62.85 62.85 62.85
Sites, in units of the cell vectors:
Ac  0.000  0.000  0.000
Tb  0.112  0.717  0.746
Tb  0.254  0.888  0.283
Tb  0.283  0.254  0.888
Tb  0.423  0.423  0.423
Tb  0.577  0.577  0.577
Tb  0.717  0.746  0.112
Tb  0.746  0.112  0.717
Tb  0.888  0.283  0.254
Y  0.101  0.533  0.244
Y  0.244  0.101  0.533
Y  0.467  0.756  0.899
Y  0.533  0.244  0.101
Y  0.756  0.899  0.467
Y  0.899  0.467  0.756

Most intense lines, 10° ≤ 2θ ≤ 90°, low angle first:
| 2θ/deg | I_rel |
| --- | --- |
| 30.31 | 18 |
| 31.21 | 100 |
| 32.05 | 31 |
| 34.67 | 13 |
| 36.56 | 14 |
| 59.80 | 12 |

***

Entry 11:
Computed XRD peak list of CeDyHg4 for CuKα, from the GGA-PBE geometry in Alexandria.
Kinematic intensities with the Lorentz-polarization factor, no thermal factor.

Lattice parameters (Å, degrees): 8.493 8.670 5.035 90.00 126.21 90.00
Sites, in units of the cell vectors:
Ce  0.000  0.000  0.000
Ce  0.500  0.500  0.000
Dy  0.000  0.500  0.500
Dy  0.500  0.000  0.500
Hg  0.249  0.167  0.749
Hg  0.249  0.833  0.749
Hg  0.251  0.333  0.251
Hg  0.251  0.667  0.251
Hg  0.749  0.333  0.749
Hg  0.749  0.667  0.749
Hg  0.751  0.167  0.251
Hg  0.751  0.833  0.251

Most intense lines, 10° ≤ 2θ ≤ 90°, low angle first:
| 2θ/deg | I_rel |
| --- | --- |
| 26.00 | 16 |
| 33.29 | 100 |
| 35.66 | 34 |
| 35.83 | 68 |
| 62.82 | 16 |
| 66.05 | 29 |

***

Entry 12:
Computed XRD peak list of LaPm6Ge2 for CuKα, from the GGA-PBE geometry in Alexandria.
Kinematic intensities with the Lorentz-polarization factor, no thermal factor.

Lattice parameters (Å, degrees): 8.120 8.120 4.682 90.00 90.00 120.00
Sites, in units of the cell vectors:
La  0.000  0.000  0.000
Pm  0.000  0.420  0.000
Pm  0.000  0.728  0.500
Pm  0.272  0.272  0.500
Pm  0.420  0.000  0.000
Pm  0.580  0.580  0.000
Pm  0.728  0.000  0.500
Ge  0.333  0.667  0.500
Ge  0.667  0.333  0.500

Most intense lines, 10° ≤ 2θ ≤ 90°, low angle first:
| 2θ/deg | I_rel |
| --- | --- |
| 29.11 | 100 |
| 31.83 | 95 |
| 33.72 | 39 |
| 38.43 | 61 |
| 52.05 | 30 |
| 60.72 | 32 |